Record 1
Computed X-ray diffraction stick pattern of LiMnPO4 for Cu Kα X-rays, from a DFT-relaxed cell (GGA+U, the Materials Project).

```
data_LiMnPO4
_cell_length_a 8.5976
_cell_length_b 8.5976
_cell_length_c 7.4891
_cell_angle_alpha 90.00
_cell_angle_beta 90.00
_cell_angle_gamma 120.00
_symmetry_space_group_name_H-M 'P 63'
_symmetry_Int_Tables_number 173
_symmetry_space_group_name_Hall 'P 6c'
loop_
_atom_site_label
_atom_site_type_symbol
_atom_site_fract_x
_atom_site_fract_y
_atom_site_fract_z
_atom_site_occupancy
Li1 Li 0.0162 0.6796 0.0000 1
Mn1 Mn 0.0000 0.0000 0.2795 1
Mn2 Mn 0.3333 0.6667 0.2848 1
Mn3 Mn 0.3333 0.6667 0.8606 1
P1 P 0.0336 0.6847 0.5863 1
O1 O 0.0689 0.2074 0.0796 1
O2 O 0.1077 0.5203 0.0743 1
O3 O 0.1362 0.7275 0.7660 1
O4 O 0.1732 0.7510 0.4332 1
```

Most intense lines, 2θ from 10° to 80°, by angle:
20.66 deg, d = 4.299 Å, I = 39, hkl 1 1 0; 23.87 deg, d = 3.728 Å, I = 73, hkl 1 1 1; 26.71 deg, d = 3.338 Å, I = 19, hkl 2 0 1; 31.69 deg, d = 2.824 Å, I = 100, hkl 1 1 2; 36.19 deg, d = 2.482 Å, I = 39, hkl 3 0 0; 38.20 deg, d = 2.356 Å, I = 18, hkl 3 0 1; 43.66 deg, d = 2.073 Å, I = 13, hkl 2 0 3; 43.77 deg, d = 2.068 Å, I = 14, hkl 3 0 2; 48.83 deg, d = 1.865 Å, I = 44, hkl 2 2 2; 56.65 deg, d = 1.625 Å, I = 15, hkl 1 4 0; 62.29 deg, d = 1.491 Å, I = 28, hkl 4 1 2; 65.10 deg, d = 1.433 Å, I = 15, hkl 3 3 0

***

Record 2
Computed X-ray diffraction stick pattern of LiMnP2O7 for Cu Kα X-rays, from a DFT-relaxed cell (GGA+U, the Materials Project).

```
data_LiMnP2O7
_cell_length_a 7.1696
_cell_length_b 8.3746
_cell_length_c 9.7555
_cell_angle_alpha 90.00
_cell_angle_beta 112.46
_cell_angle_gamma 90.00
_symmetry_space_group_name_H-M 'P 1 21/c 1'
_symmetry_Int_Tables_number 14
_symmetry_space_group_name_Hall '-P 2ybc'
loop_
_atom_site_label
_atom_site_type_symbol
_atom_site_fract_x
_atom_site_fract_y
_atom_site_fract_z
_atom_site_occupancy
Li1 Li 0.1713 0.1127 0.2473 1
Mn1 Mn 0.2358 0.0030 0.7479 1
P1 P 0.1791 0.6921 0.9499 1
P2 P 0.4100 0.2258 0.0461 1
O1 O 0.0617 0.5562 0.8454 1
O2 O 0.1097 0.6415 0.3895 1
O3 O 0.1939 0.6750 0.1103 1
O4 O 0.2851 0.1909 0.8802 1
O5 O 0.2866 0.1715 0.6065 1
O6 O 0.4029 0.6640 0.9497 1
O7 O 0.4885 0.0736 0.1382 1
```

Most intense lines, 2θ from 10° to 80°, by angle:
16.95 deg, d = 5.231 Å, I = 100, hkl 1 1 -1; 19.12 deg, d = 4.642 Å, I = 13, hkl 1 0 -2; 22.16 deg, d = 4.012 Å, I = 18, hkl 1 1 1; 22.40 deg, d = 3.969 Å, I = 27, hkl 0 1 2; 25.11 deg, d = 3.547 Å, I = 14, hkl 1 2 -1; 26.91 deg, d = 3.313 Å, I = 14, hkl 2 0 0; 28.71 deg, d = 3.110 Å, I = 20, hkl 2 1 -2; 28.98 deg, d = 3.081 Å, I = 31, hkl 2 1 0; 29.11 deg, d = 3.068 Å, I = 65, hkl 0 2 2; 29.54 deg, d = 3.023 Å, I = 20, hkl 1 1 -3; 34.29 deg, d = 2.615 Å, I = 11, hkl 2 2 -2; 42.74 deg, d = 2.115 Å, I = 12, hkl 1 3 -3

***

Record 3
Computed X-ray diffraction stick pattern of Li4Mn7P6O24 for Cu Kα X-rays, from a DFT-relaxed cell (GGA+U, the Materials Project).

```
data_Li4Mn7P6O24
_cell_length_a 11.2273
_cell_length_b 14.2542
_cell_length_c 6.7096
_cell_angle_alpha 90.00
_cell_angle_beta 104.80
_cell_angle_gamma 90.00
_symmetry_space_group_name_H-M 'C 1 m 1'
_symmetry_Int_Tables_number 8
_symmetry_space_group_name_Hall 'C -2y'
loop_
_atom_site_label
_atom_site_type_symbol
_atom_site_fract_x
_atom_site_fract_y
_atom_site_fract_z
_atom_site_occupancy
Li1 Li 0.0000 0.0000 0.0000 1
Li2 Li 0.1722 0.5000 0.1749 1
Li3 Li 0.3554 0.1151 0.0936 1
Mn1 Mn 0.0607 0.1811 0.4278 1
Mn2 Mn 0.2006 0.3194 0.8090 1
Mn3 Mn 0.3734 0.5000 0.5996 1
Mn4 Mn 0.3770 0.1502 0.5969 1
P1 P 0.0541 0.5000 0.5366 1
P2 P 0.1963 0.0000 0.7119 1
P3 P 0.2807 0.3120 0.3205 1
P4 P 0.4694 0.3072 0.9031 1
O1 O 0.0465 0.2172 0.7458 1
O2 O 0.0509 0.4127 0.6782 1
O3 O 0.0542 0.1683 0.1139 1
O4 O 0.0705 0.0000 0.7604 1
O5 O 0.1741 0.5000 0.4659 1
O6 O 0.1981 0.3528 0.1189 1
O7 O 0.2047 0.2895 0.4804 1
O8 O 0.2069 0.0876 0.5749 1
O9 O 0.3033 0.0000 0.9088 1
O10 O 0.3508 0.2182 0.3014 1
O11 O 0.3797 0.2209 0.8922 1
O12 O 0.3801 0.3934 0.8393 1
O13 O 0.3846 0.3858 0.4026 1
O14 O 0.4374 0.0000 0.3558 1
```

Most intense lines, 2θ from 10° to 80°, by angle:
12.42 deg, d = 7.127 Å, I = 45, hkl 0 2 0; 13.65 deg, d = 6.487 Å, I = 100, hkl 0 0 1; 23.42 deg, d = 3.799 Å, I = 55, hkl 1 3 -1; 25.72 deg, d = 3.464 Å, I = 16, hkl 3 1 -1; 30.28 deg, d = 2.952 Å, I = 18, hkl 0 2 2; 31.07 deg, d = 2.879 Å, I = 76, hkl 3 3 0; 32.34 deg, d = 2.768 Å, I = 15, hkl 4 0 -1; 32.70 deg, d = 2.739 Å, I = 62, hkl 1 3 -2; 36.64 deg, d = 2.453 Å, I = 21, hkl 3 3 1; 37.88 deg, d = 2.375 Å, I = 19, hkl 0 6 0; 40.27 deg, d = 2.239 Å, I = 18, hkl 3 5 0; 40.78 deg, d = 2.212 Å, I = 14, hkl 2 0 -3

***

Record 4
Computed X-ray diffraction stick pattern of Li2Mn3P9O28 for Cu Kα X-rays, from a DFT-relaxed cell (GGA+U, the Materials Project).

```
data_Li2Mn3P9O28
_cell_length_a 7.0845
_cell_length_b 8.8893
_cell_length_c 9.1814
_cell_angle_alpha 110.66
_cell_angle_beta 108.98
_cell_angle_gamma 98.48
_symmetry_space_group_name_H-M 'P -1'
_symmetry_Int_Tables_number 2
_symmetry_space_group_name_Hall '-P 1'
loop_
_atom_site_label
_atom_site_type_symbol
_atom_site_fract_x
_atom_site_fract_y
_atom_site_fract_z
_atom_site_occupancy
Li1 Li 0.2119 0.4613 0.2274 1
Mn1 Mn 0.0000 0.0000 0.0000 1
Mn2 Mn 0.2594 0.5142 0.7594 1
P1 P 0.1891 0.2076 0.4214 1
P2 P 0.1989 0.7452 0.5541 1
P3 P 0.2859 0.2613 0.9314 1
P4 P 0.3428 0.8188 0.1068 1
P5 P 0.5000 0.0000 0.5000 1
O1 O 0.0363 0.8518 0.5739 1
O2 O 0.0876 0.1483 0.9111 1
O3 O 0.0992 0.5918 0.3833 1
O4 O 0.1555 0.2092 0.2511 1
O5 O 0.2148 0.6367 0.9779 1
O6 O 0.2268 0.3119 0.7845 1
O7 O 0.2641 0.9538 0.0659 1
O8 O 0.2722 0.7094 0.7102 1
O9 O 0.2816 0.0679 0.4581 1
O10 O 0.3106 0.3865 0.5603 1
O11 O 0.3806 0.8346 0.2924 1
O12 O 0.3927 0.8722 0.5714 1
O13 O 0.4023 0.4077 0.1075 1
O14 O 0.4315 0.1425 0.8964 1
```

Most intense lines, 2θ from 10° to 80°, by angle:
13.84 deg, d = 6.397 Å, I = 25, hkl 1 0 -1; 17.33 deg, d = 5.117 Å, I = 100, hkl 1 1 -1; 18.26 deg, d = 4.858 Å, I = 56, hkl -1 1 1; 23.45 deg, d = 3.794 Å, I = 38, hkl 1 -2 1; 24.11 deg, d = 3.692 Å, I = 53, hkl 0 2 -2; 25.76 deg, d = 3.458 Å, I = 20, hkl 1 2 -1; 26.78 deg, d = 3.329 Å, I = 31, hkl 2 -1 0; 27.90 deg, d = 3.198 Å, I = 44, hkl 2 0 0; 29.40 deg, d = 3.038 Å, I = 84, hkl 0 1 2; 30.24 deg, d = 2.956 Å, I = 36, hkl 2 -2 0; 31.65 deg, d = 2.827 Å, I = 34, hkl 0 3 -2; 31.78 deg, d = 2.816 Å, I = 21, hkl 1 2 -3